[1]
Theoretical X-ray powder pattern
Compound: BeV6Ga3
Radiation: Cu Kα, 1.54184 Å
Structure: a crystal structure in Alexandria, relaxed with GGA-PBE

Most intense lines, 2θ from 5° to 70°, by angle:
two_theta	d_spacing	I (rel.)
17.8	4.995	6
21.5	4.130	4
37.7	2.385	24
38.7	2.326	29
41.0	2.201	5
42.6	2.122	100
43.8	2.065	5
55.2	1.665	14
62.8	1.480	5
68.1	1.377	13

Crystal structure
Cell lengths 6.6625, 6.6625, 6.6625 Å; angles 76.62, 76.62, 76.62 degrees
Fractional coordinates of all 20 atoms:
Be  0.0000  0.0000  0.0000
Be  0.5000  0.5000  0.5000
V  0.0273  0.0273  0.6687
V  0.0273  0.6687  0.0273
V  0.2688  0.2688  0.6640
V  0.2688  0.6640  0.2688
V  0.3313  0.9727  0.9727
V  0.3360  0.7312  0.7312
V  0.6640  0.2688  0.2688
V  0.6687  0.0273  0.0273
V  0.7312  0.3360  0.7312
V  0.7312  0.7312  0.3360
V  0.9727  0.3313  0.9727
V  0.9727  0.9727  0.3313
Ga  0.0122  0.3612  0.3612
Ga  0.3612  0.0122  0.3612
Ga  0.3612  0.3612  0.0122
Ga  0.6388  0.6388  0.9878
Ga  0.6388  0.9878  0.6388
Ga  0.9878  0.6388  0.6388

=====

[2]
Theoretical X-ray powder pattern
Compound: Ce6InGe2
Radiation: Cu Kα, 1.54184 Å
Structure: a crystal structure in Alexandria, relaxed with GGA-PBE

Most intense lines, 2θ from 5° to 70°, by angle:
two_theta	d_spacing	I (rel.)
25.1	3.547	20
30.7	2.914	73
33.2	2.696	100
33.4	2.681	28
38.1	2.364	26
43.6	2.074	22
44.1	2.054	14
49.7	1.836	17
59.3	1.559	14
61.2	1.515	20

Crystal structure
Cell lengths 8.1906, 8.1906, 4.1480 Å; angles 90.00, 90.00, 120.00 degrees
Fractional coordinates of all 9 atoms:
Ce  0.0000  0.4481  0.0000
Ce  0.0000  0.7120  0.5000
Ce  0.2880  0.2880  0.5000
Ce  0.4481  0.0000  0.0000
Ce  0.5519  0.5519  0.0000
Ce  0.7120  0.0000  0.5000
In  0.0000  0.0000  0.0000
Ge  0.3333  0.6667  0.5000
Ge  0.6667  0.3333  0.5000